Entry 1:
Computed powder X-ray diffraction pattern of CsScSn2Cl8 for Cu Ka, from a DFT-relaxed cell (PBE, Alexandria).
Kinematic intensities with the Lorentz-polarization factor, no thermal factor.

Principal peaks in the range 2θ = 5–70°, by intensity:
two_theta, Rel. int.
24.2, 100.0
17.3, 73.1
17.1, 67.6
29.1, 67.5
17.6, 62.0
24.7, 58.9
25.4, 57.9
25.2, 56.4
9.6, 53.9
30.6, 46.7

```
data_CsScSn2Cl8
_cell_length_a 7.0203
_cell_length_b 7.0742
_cell_length_c 9.2056
_cell_angle_alpha 89.34
_cell_angle_beta 89.71
_cell_angle_gamma 61.39
_space_group_name_H-M_alt 'P -1'
_space_group_IT_number 2
loop_
_space_group_symop_operation_xyz
'x,y,z'
'-x,-y,-z'
loop_
_atom_site_label
_atom_site_fract_x
_atom_site_fract_y
_atom_site_fract_z
Cs1 0.0000 0.0000 0.0000
Sc1 0.0000 0.0000 0.5000
Sn1 0.3373 0.3308 0.6444
Cl1 0.0592 0.6881 0.3436
Cl2 0.2583 0.0620 0.3444
Cl3 0.3065 0.7509 0.6609
Cl4 0.3393 0.3205 0.9129
```

---

Entry 2:
Computed powder X-ray diffraction pattern of CsNb2BiO8 for Cu Ka, from a DFT-relaxed cell (PBE, Alexandria).
Kinematic intensities with the Lorentz-polarization factor, no thermal factor.

Principal peaks in the range 2θ = 5–70°, by intensity:
two_theta, Rel. int.
11.2, 100.0
31.2, 75.0
28.8, 73.5
17.9, 50.6
38.8, 49.8
22.5, 37.0
49.6, 28.1
43.0, 27.5
54.0, 27.2
55.5, 21.6

```
data_CsNb2BiO8
_cell_length_a 5.7378
_cell_length_b 5.7378
_cell_length_c 7.9123
_cell_angle_alpha 90.00
_cell_angle_beta 90.00
_cell_angle_gamma 120.00
_space_group_name_H-M_alt 'P -3'
_space_group_IT_number 147
loop_
_space_group_symop_operation_xyz
'x,y,z'
'-x,-y,-z'
'-y,x-y,z'
'y,-x+y,-z'
'-x+y,-x,z'
'x-y,x,-z'
loop_
_atom_site_label
_atom_site_fract_x
_atom_site_fract_y
_atom_site_fract_z
Cs1 0.0000 0.0000 0.0000
Nb1 0.3333 0.6667 0.4114
Bi1 0.0000 0.0000 0.5000
O1 0.0431 0.3605 0.6106
O2 0.3333 0.6667 0.1869
```